Simulated powder XRD pattern of Li2VPO6 for a wavelength of 1.5418 Å, from DFT lattice parameters and positions (GGA+U).
Peak positions follow from Bragg's law for the DFT cell and can differ from measured ones.

Crystal structure
```
data_Li2VPO6
_chemical_formula_sum 'Li8 V4 P4 O24'
_space_group_name_H-M_alt 'P n a 21'
_space_group_IT_number 33
_space_group_name_Hall 'P 2c -2n'
_cell_length_a 10.508
_cell_length_b 4.708
_cell_length_c 8.672
_cell_angle_alpha 90.00
_cell_angle_beta 90.00
_cell_angle_gamma 90.00
loop_
_atom_site_label
_atom_site_fract_x
_atom_site_fract_y
_atom_site_fract_z
_atom_site_occupancy
Li1 0.086 0.027 0.000 1
Li2 0.130 0.536 0.296 1
V1 0.112 0.480 0.677 1
P1 0.218 0.083 0.479 1
O1 0.011 0.301 0.149 1
O2 0.052 0.254 0.805 1
O3 0.083 0.232 0.488 1
O4 0.212 0.737 0.114 1
O5 0.214 0.760 0.489 1
O6 0.223 0.684 0.822 1
```

Most intense lines, 10° ≤ 2θ ≤ 90°, sorted by position:
d_spacing	Rel. int.
5.254	15
4.494	100
4.296	34
3.850	53
3.344	31
3.052	56
2.673	42
2.398	25
2.295	21
2.230	29
1.724	24
1.498	18